Diffraction record for Na3Re. The powder XRD pattern is calculated, not measured: it uses a crystal structure in the Materials Project, relaxed with PBE and λ = 1.5418 Å (Cu Kα).

Crystal structure
```
data_Na3Re
_space_group_name_H-M_alt 'F m -3 m'
_space_group_IT_number 225
_space_group_name_Hall '-F 4 2 3'
_cell_length_a 7.458
_cell_length_b 7.458
_cell_length_c 7.458
_cell_angle_alpha 90.00
_cell_angle_beta 90.00
_cell_angle_gamma 90.00
loop_
_atom_site_label
_atom_site_type_symbol
_atom_site_fract_x
_atom_site_fract_y
_atom_site_fract_z
_atom_site_occupancy
Na1 Na 0.000 0.000 0.000 1
Na2 Na 0.250 0.250 0.250 1
Re1 Re 0.000 0.000 0.500 1
```

Most intense lines, 2θ from 10° to 90°, by angle:
2theta  d [Å]  I/Imax
20.63  4.306  87
23.86  3.729  46
34.00  2.637  100
40.10  2.249  49
41.97  2.153  14
48.85  1.864  18
53.56  1.711  22
55.07  1.668  20
60.85  1.522  36
64.98  1.435  16
75.41  1.261  16
81.66  1.179  15



Diffraction record for Ba3Ti2O7. The powder XRD pattern is calculated, not measured: it uses a crystal structure in the Materials Project, relaxed with PBE and λ = 1.5418 Å (Cu Kα).

Crystal structure
```
data_Ba3Ti2O7
_space_group_name_H-M_alt 'F m m 2'
_space_group_IT_number 42
_space_group_name_Hall 'F 2 -2'
_cell_length_a 5.745
_cell_length_b 21.459
_cell_length_c 5.767
_cell_angle_alpha 90.00
_cell_angle_beta 90.00
_cell_angle_gamma 90.00
loop_
_atom_site_label
_atom_site_type_symbol
_atom_site_fract_x
_atom_site_fract_y
_atom_site_fract_z
_atom_site_occupancy
Ba1 Ba 0.000 0.000 0.000 1
Ba2 Ba 0.000 0.183 0.002 1
Ti1 Ti 0.000 0.095 0.486 1
O1 O 0.000 0.000 0.512 1
O2 O 0.000 0.186 0.511 1
O3 O 0.244 0.094 0.264 1
```

Most intense lines, 2θ from 10° to 90°, by angle:
2theta  d [Å]  I/Imax
22.23  3.999  21
24.90  3.577  14
30.26  2.953  100
31.01  2.884  32
31.13  2.873  32
40.22  2.242  37
42.11  2.146  12
44.52  2.035  37
53.25  1.720  13
54.70  1.678  19
54.85  1.674  19
62.94  1.477  13



Diffraction record for Sr2DySbO6. The powder XRD pattern is calculated, not measured: it uses a crystal structure in the Materials Project, relaxed with PBE and λ = 1.5418 Å (Cu Kα).

Crystal structure
```
data_Sr2DySbO6
_space_group_name_H-M_alt 'F m -3 m'
_space_group_IT_number 225
_space_group_name_Hall '-F 4 2 3'
_cell_length_a 8.393
_cell_length_b 8.393
_cell_length_c 8.393
_cell_angle_alpha 90.00
_cell_angle_beta 90.00
_cell_angle_gamma 90.00
loop_
_atom_site_label
_atom_site_type_symbol
_atom_site_fract_x
_atom_site_fract_y
_atom_site_fract_z
_atom_site_occupancy
Sr1 Sr 0.250 0.250 0.250 1
Dy1 Dy 0.000 0.000 0.000 1
Sb1 Sb 0.000 0.000 0.500 1
O1 O 0.000 0.000 0.262 1
```

Most intense lines, 2θ from 10° to 90°, by angle:
2theta  d [Å]  I/Imax
18.31  4.846  1
21.17  4.196  13
30.12  2.967  100
35.47  2.530  1
43.11  2.098  31
48.51  1.877  5
53.49  1.713  40
62.61  1.484  19
66.89  1.399  2
71.03  1.327  18
79.05  1.211  6
86.85  1.122  22



Diffraction record for ThReO3. The powder XRD pattern is calculated, not measured: it uses a crystal structure in the Materials Project, relaxed with PBE and λ = 1.5418 Å (Cu Kα).

Crystal structure
```
data_ThReO3
_space_group_name_H-M_alt 'P m -3 m'
_space_group_IT_number 221
_space_group_name_Hall '-P 4 2 3'
_cell_length_a 4.002
_cell_length_b 4.002
_cell_length_c 4.002
_cell_angle_alpha 90.00
_cell_angle_beta 90.00
_cell_angle_gamma 90.00
loop_
_atom_site_label
_atom_site_type_symbol
_atom_site_fract_x
_atom_site_fract_y
_atom_site_fract_z
_atom_site_occupancy
Th1 Th 0.000 0.000 0.000 1
Re1 Re 0.500 0.500 0.500 1
O1 O 0.000 0.500 0.500 1
```

Most intense lines, 2θ from 10° to 90°, by angle:
2theta  d [Å]  I/Imax
31.62  2.830  100
38.99  2.310  2
45.33  2.001  25
56.32  1.634  41
66.04  1.415  16
75.07  1.265  18
79.43  1.207  1
83.73  1.155  6



Diffraction record for ErAl4Ni. The powder XRD pattern is calculated, not measured: it uses a crystal structure in the Materials Project, relaxed with PBE and λ = 1.5418 Å (Cu Kα).

Crystal structure
```
data_ErAl4Ni
_space_group_name_H-M_alt 'C m c m'
_space_group_IT_number 63
_space_group_name_Hall '-C 2c 2'
_cell_length_a 4.087
_cell_length_b 15.348
_cell_length_c 6.515
_cell_angle_alpha 90.00
_cell_angle_beta 90.00
_cell_angle_gamma 90.00
loop_
_atom_site_label
_atom_site_type_symbol
_atom_site_fract_x
_atom_site_fract_y
_atom_site_fract_z
_atom_site_occupancy
Er1 Er 0.000 0.118 0.250 1
Al1 Al 0.000 0.075 0.750 1
Al2 Al 0.000 0.312 0.051 1
Al3 Al 0.000 0.500 0.000 1
Ni1 Ni 0.000 0.224 0.750 1
```

Most intense lines, 2θ from 10° to 90°, by angle:
2theta  d [Å]  I/Imax
17.86  4.967  81
22.51  3.950  47
27.38  3.258  44
31.19  2.867  86
35.73  2.513  100
36.61  2.455  41
37.78  2.381  59
39.22  2.297  50
39.52  2.280  37
44.32  2.044  39
50.84  1.796  29
59.62  1.551  31



Diffraction record for BiPPb2. The powder XRD pattern is calculated, not measured: it uses a crystal structure in the Materials Project, relaxed with PBE and λ = 1.5418 Å (Cu Kα).

Crystal structure
```
data_BiPPb2
_space_group_name_H-M_alt 'P n m a'
_space_group_IT_number 62
_space_group_name_Hall '-P 2ac 2n'
_cell_length_a 5.124
_cell_length_b 8.073
_cell_length_c 12.222
_cell_angle_alpha 90.00
_cell_angle_beta 90.00
_cell_angle_gamma 90.00
loop_
_atom_site_label
_atom_site_type_symbol
_atom_site_fract_x
_atom_site_fract_y
_atom_site_fract_z
_atom_site_occupancy
Bi1 Bi 0.195 0.250 0.149 1
P1 P 0.155 0.750 0.038 1
Pb1 Pb 0.235 0.520 0.391 1
```

Most intense lines, 2θ from 10° to 90°, by angle:
2theta  d [Å]  I/Imax
13.14  6.736  18
21.79  4.078  12
22.65  3.926  13
29.23  3.056  25
30.13  2.966  17
31.80  2.814  100
34.14  2.626  16
35.03  2.562  19
44.91  2.018  10
46.25  1.963  13
53.47  1.714  12
60.81  1.523  11



Diffraction record for Te3Pd4Br4. The powder XRD pattern is calculated, not measured: it uses a crystal structure in the Materials Project, relaxed with PBE and λ = 1.5418 Å (Cu Kα).

Crystal structure
```
data_Te3Pd4Br4
_space_group_name_H-M_alt 'P -1'
_space_group_IT_number 2
_space_group_name_Hall '-P 1'
_cell_length_a 8.627
_cell_length_b 8.719
_cell_length_c 9.007
_cell_angle_alpha 72.78
_cell_angle_beta 81.94
_cell_angle_gamma 88.78
loop_
_atom_site_label
_atom_site_type_symbol
_atom_site_fract_x
_atom_site_fract_y
_atom_site_fract_z
_atom_site_occupancy
Te1 Te 0.115 0.353 0.198 1
Te2 Te 0.307 0.024 0.209 1
Te3 Te 0.347 0.220 0.471 1
Pd1 Pd 0.015 0.077 0.204 1
Pd2 Pd 0.056 0.287 0.496 1
Pd3 Pd 0.284 0.923 0.509 1
Pd4 Pd 0.422 0.315 0.164 1
Br1 Br 0.039 0.212 0.796 1
Br2 Br 0.231 0.635 0.511 1
Br3 Br 0.279 0.843 0.812 1
Br4 Br 0.476 0.396 0.858 1
```

Most intense lines, 2θ from 10° to 90°, by angle:
2theta  d [Å]  I/Imax
10.38  8.521  34
10.62  8.327  22
12.47  7.097  59
13.61  6.504  26
16.98  5.221  26
31.50  2.840  100
32.30  2.772  90
33.04  2.711  73
45.38  1.999  47
46.13  1.968  26
47.13  1.928  22
47.20  1.926  22



Diffraction record for HfMg6BO7. The powder XRD pattern is calculated, not measured: it uses a crystal structure in the Materials Project, relaxed with PBE and λ = 1.5418 Å (Cu Kα).

Crystal structure
```
data_HfMg6BO7
_space_group_name_H-M_alt 'P 4 m m'
_space_group_IT_number 99
_space_group_name_Hall 'P 4 -2'
_cell_length_a 4.322
_cell_length_b 4.322
_cell_length_c 8.821
_cell_angle_alpha 90.00
_cell_angle_beta 90.00
_cell_angle_gamma 90.00
loop_
_atom_site_label
_atom_site_type_symbol
_atom_site_fract_x
_atom_site_fract_y
_atom_site_fract_z
_atom_site_occupancy
Hf1 Hf 0.000 0.000 0.000 1
Mg1 Mg 0.000 0.000 0.501 1
Mg2 Mg 0.000 0.500 0.258 1
Mg3 Mg 0.000 0.500 0.749 1
Mg4 Mg 0.500 0.500 0.504 1
B1 B 0.500 0.500 0.219 1
O1 O 0.000 0.000 0.241 1
O2 O 0.000 0.000 0.756 1
O3 O 0.000 0.500 0.498 1
O4 O 0.000 0.500 0.988 1
O5 O 0.500 0.500 0.727 1
```

Most intense lines, 2θ from 10° to 90°, by angle:
2theta  d [Å]  I/Imax
10.03  8.821  69
20.55  4.322  69
22.91  3.881  100
28.92  3.087  49
30.97  2.888  24
35.74  2.512  44
36.98  2.431  26
40.93  2.205  34
41.80  2.161  66
48.19  1.888  28
59.93  1.543  40
60.60  1.528  24



Diffraction record for U3O11. The powder XRD pattern is calculated, not measured: it uses a crystal structure in the Materials Project, relaxed with PBE and λ = 1.5418 Å (Cu Kα).

Crystal structure
```
data_U3O11
_space_group_name_H-M_alt 'I m m m'
_space_group_IT_number 71
_space_group_name_Hall '-I 2 2'
_cell_length_a 7.259
_cell_length_b 11.376
_cell_length_c 14.887
_cell_angle_alpha 90.00
_cell_angle_beta 90.00
_cell_angle_gamma 90.00
loop_
_atom_site_label
_atom_site_type_symbol
_atom_site_fract_x
_atom_site_fract_y
_atom_site_fract_z
_atom_site_occupancy
U1 U 0.000 0.000 0.238 1
U2 U 0.000 0.320 0.268 1
O1 O 0.000 0.000 0.041 1
O2 O 0.000 0.000 0.364 1
O3 O 0.000 0.265 0.382 1
O4 O 0.000 0.356 0.150 1
O5 O 0.000 0.500 0.306 1
O6 O 0.178 0.140 0.229 1
```

Most intense lines, 2θ from 10° to 90°, by angle:
2theta  d [Å]  I/Imax
11.89  7.443  100
23.91  3.722  14
24.53  3.630  20
26.52  3.361  28
27.34  3.262  21
29.15  3.063  34
34.52  2.598  8
36.00  2.494  16
44.41  2.040  9
45.44  1.996  7
46.14  1.967  13
51.06  1.789  8



Diffraction record for Sr2Bi2Se3O2. The powder XRD pattern is calculated, not measured: it uses a crystal structure in the Materials Project, relaxed with PBE and λ = 1.5418 Å (Cu Kα).

Crystal structure
```
data_Sr2Bi2Se3O2
_space_group_name_H-M_alt 'P 1 21/c 1'
_space_group_IT_number 14
_space_group_name_Hall '-P 2ybc'
_cell_length_a 9.723
_cell_length_b 4.136
_cell_length_c 13.764
_cell_angle_alpha 90.00
_cell_angle_beta 123.81
_cell_angle_gamma 90.00
loop_
_atom_site_label
_atom_site_type_symbol
_atom_site_fract_x
_atom_site_fract_y
_atom_site_fract_z
_atom_site_occupancy
Sr1 Sr 0.104 0.008 0.393 1
Bi1 Bi 0.363 0.502 0.309 1
Se1 Se 0.217 0.000 0.130 1
Se2 Se 0.500 0.000 0.500 1
O1 O 0.146 0.504 0.313 1
```

Most intense lines, 2θ from 10° to 90°, by angle:
2theta  d [Å]  I/Imax
10.95  8.079  21
15.50  5.718  22
18.55  4.784  28
27.67  3.224  73
29.13  3.065  100
31.93  2.803  47
34.92  2.569  74
41.05  2.199  23
43.77  2.068  26
45.71  1.985  22
52.57  1.741  31
57.47  1.603  20



Diffraction record for Ti2ZnP2O9. The powder XRD pattern is calculated, not measured: it uses a crystal structure in the Materials Project, relaxed with PBE and λ = 1.5418 Å (Cu Kα).

Crystal structure
```
data_Ti2ZnP2O9
_space_group_name_H-M_alt 'P n m a'
_space_group_IT_number 62
_space_group_name_Hall '-P 2ac 2n'
_cell_length_a 14.300
_cell_length_b 6.381
_cell_length_c 7.571
_cell_angle_alpha 90.00
_cell_angle_beta 90.00
_cell_angle_gamma 90.00
loop_
_atom_site_label
_atom_site_type_symbol
_atom_site_fract_x
_atom_site_fract_y
_atom_site_fract_z
_atom_site_occupancy
Ti1 Ti 0.000 0.000 0.000 1
Ti2 Ti 0.119 0.250 0.350 1
Zn1 Zn 0.228 0.250 0.943 1
P1 P 0.072 0.750 0.362 1
P2 P 0.192 0.750 0.880 1
O1 O 0.007 0.250 0.498 1
O2 O 0.025 0.750 0.177 1
O3 O 0.061 0.250 0.128 1
O4 O 0.135 0.543 0.895 1
O5 O 0.140 0.563 0.379 1
O6 O 0.231 0.250 0.524 1
O7 O 0.250 0.250 0.204 1
```

Most intense lines, 2θ from 10° to 90°, by angle:
2theta  d [Å]  I/Imax
17.06  5.198  30
23.50  3.786  25
24.32  3.660  100
27.59  3.233  22
27.96  3.191  43
30.68  2.914  22
31.04  2.881  36
33.49  2.676  26
34.51  2.599  20
36.41  2.467  19
39.01  2.309  24
39.68  2.271  19